Structure and computed powder X-ray diffraction pattern of Na2Zn2TeO6 (a structure optimized by DFT (PBE); Cu Kα, 1.54184 Å).
No peak broadening, texture or thermal motion is included.

Principal peaks in the range 2θ = 10–90°, by angle:
2θ (°), I/Imax, index
15.64, 100, 0 0 2
21.00, 12, 1 0 1
31.59, 15, 0 0 4
34.05, 49, 1 1 0
37.67, 43, 1 1 2
47.13, 65, 1 1 4
60.32, 17, 1 1 6
60.94, 18, 3 0 0
63.34, 13, 3 0 2
80.44, 12, 2 2 4

Structure:
Unit cell a=5.2666 b=5.2666 c=11.3285 alpha=90.00 beta=90.00 gamma=120.00
Space group P6_322 (No. 182)
One atom of each set of equivalent atoms:
Na 0.3333 0.6667 0.0115 (multiplicity 4)
Zn 0.0000 0.0000 0.2500 (multiplicity 2)
Zn 0.3333 0.6667 0.2500 (multiplicity 2)
Te 0.3333 0.6667 0.7500 (multiplicity 2)
O 0.0262 0.3620 0.6517 (multiplicity 12)